No. 1
FeSi29Ge2: computed XRD peak list (Cu Ka), based on a DFT-relaxed cell (PBE, OQMD).

Top 10 peaks for 2θ from 10° to 90°, sorted by position:
index  d_spacing  two_theta  I_rel
0 1 0  8.571  10.3  7.4
1 0 0  7.727  11.5  2.8
0 1 1  6.910  12.8  4.0
1 1 0  6.742  13.1  3.8
1 3 1  3.154  28.3  100.0
4 0 0  1.931  47.0  67.2
0 3 5  1.647  55.8  39.9
6 4 4  1.366  68.7  10.6
3 7 5  1.253  75.9  16.1
7 4 0  1.115  87.5  22.8

Atomic structure:
a b c (Å): 8.6383 9.4594 9.4639
angles (deg): 70.54 68.57 68.61
Space group P1 (No. 1)
Asymmetric unit:
1 Fe 0.0000 0.0000 0.0000 x1
2 Si 0.2363 0.0622 0.8231 x1
3 Si 0.2432 0.0655 0.5681 x1
4 Si 0.2441 0.3137 0.8170 x1
5 Si 0.2460 0.3178 0.0644 x1
6 Si 0.2460 0.5642 0.3160 x1
7 Si 0.2461 0.5680 0.0650 x1
8 Si 0.2456 0.8160 0.5658 x1
9 Si 0.2499 0.8117 0.3161 x1
10 Si 0.4923 0.1268 0.1318 x1
11 Si 0.4938 0.1278 0.3803 x1
12 Si 0.4941 0.3774 0.6290 x1
13 Si 0.4939 0.8786 0.8791 x1
14 Si 0.4950 0.6272 0.6292 x1
15 Si 0.4963 0.3779 0.3781 x1
16 Si 0.4964 0.6283 0.8784 x1
17 Si 0.4961 0.8776 0.1284 x1
18 Si 0.7418 0.9391 0.4422 x1
19 Si 0.7448 0.6896 0.4413 x1
20 Si 0.7450 0.9404 0.6903 x1
21 Si 0.7461 0.1899 0.6868 x1
22 Si 0.7458 0.4435 0.1905 x1
23 Si 0.7475 0.4435 0.9409 x1
24 Si 0.7476 0.6938 0.1895 x1
25 Si 0.9954 0.5035 0.5039 x1
26 Si 0.9956 0.2534 0.5024 x1
27 Si 0.9961 0.2573 0.2511 x1
28 Si 0.9958 0.7553 0.7535 x1
29 Si 0.9967 0.5045 0.7536 x1
30 Si 0.9977 0.7627 0.0020 x1
31 Ge 0.7550 0.1834 0.9425 x1
32 Ge 0.9966 0.0024 0.2439 x1


No. 2
FeSi17Ge14: computed XRD peak list (Cu Ka), based on a DFT-relaxed cell (PBE, OQMD).

Top 10 peaks for 2θ from 10° to 90°, sorted by position:
index  d_spacing  two_theta  I_rel
0 0 4  7.843  11.3  8.4
1 0 8  3.211  27.8  100.0
0 2 0  1.968  46.1  59.3
0 0 16  1.961  46.3  11.6
3 1 0  1.680  54.6  14.1
1 2 8  1.677  54.7  14.3
1 1 -16  1.674  54.8  13.8
0 2 16  1.389  67.4  7.5
1 3 0  1.277  74.3  10.9
2 3 -8  1.136  85.5  9.7

Atomic structure:
a b c (Å): 5.5747 3.9351 31.3708
angles (deg): 90.00 90.06 90.00
Space group Pm (No. 6)
Asymmetric unit:
1 Fe 0.0000 0.0000 0.0000 x1
2 Si 0.0013 0.0000 0.3796 x1
3 Si 0.2425 0.5000 0.3793 x1
4 Si 0.2508 0.5000 0.1292 x1
5 Si 0.2520 0.5000 0.8792 x1
6 Si 0.5014 0.5000 0.1895 x1
7 Si 0.5009 0.5000 0.4389 x1
8 Si 0.5014 0.5000 0.6910 x1
9 Si 0.5021 0.5000 0.9400 x1
10 Si 0.7392 0.0000 0.1906 x1
11 Si 0.7399 0.0000 0.6913 x1
12 Si 0.7423 0.0000 0.4397 x1
13 Si 0.7445 0.0000 0.9436 x1
14 Si 0.7505 0.0000 0.8148 x1
15 Si 0.7518 0.0000 0.5636 x1
16 Si 0.9894 0.0000 0.5012 x1
17 Si 0.9893 0.0000 0.7524 x1
18 Si 0.9906 0.0000 0.2511 x1
19 Ge 0.9999 0.0000 0.1287 x1
20 Ge 0.2241 0.5000 0.0002 x1
21 Ge 0.2399 0.5000 0.7520 x1
22 Ge 0.2412 0.5000 0.2509 x1
23 Ge 0.2413 0.5000 0.5004 x1
24 Ge 0.2517 0.5000 0.6287 x1
25 Ge 0.4878 0.5000 0.0647 x1
26 Ge 0.4897 0.5000 0.3162 x1
27 Ge 0.4987 0.5000 0.8160 x1
28 Ge 0.5016 0.5000 0.5641 x1
29 Ge 0.7546 0.0000 0.3159 x1
30 Ge 0.7591 0.0000 0.0606 x1
31 Ge 0.9893 0.0000 0.6281 x1
32 Ge 0.9982 0.0000 0.8792 x1


No. 3
FeSi29Ge2: computed XRD peak list (Cu Ka), based on a DFT-relaxed cell (PBE, OQMD).

Top 10 peaks for 2θ from 10° to 90°, sorted by position:
index  d_spacing  two_theta  I_rel
0 0 1  8.566  10.3  4.9
1 0 1  6.742  13.1  1.5
1 -1 0  5.077  17.5  2.0
-1 1 1  4.283  20.7  3.3
1 1 3  3.152  28.3  100.0
4 0 0  1.930  47.1  67.2
5 1 3  1.646  55.8  39.9
6 4 4  1.365  68.8  10.6
5 5 -1  1.253  76.0  16.2
4 4 -4  1.114  87.5  22.8

Atomic structure:
a b c (Å): 8.6361 9.4552 9.4572
angles (deg): 70.53 68.56 68.56
Space group P1 (No. 1)
Asymmetric unit:
1 Fe 0.0000 0.0000 0.0000 x1
2 Si 0.9999 0.2491 0.5010 x1
3 Si 0.0004 0.5008 0.7501 x1
4 Si 0.9997 0.7518 0.7513 x1
5 Si 0.2386 0.0595 0.8209 x1
6 Si 0.2448 0.5682 0.0657 x1
7 Si 0.2485 0.0618 0.5650 x1
8 Si 0.2481 0.8142 0.3105 x1
9 Si 0.2483 0.8138 0.5612 x1
10 Si 0.2491 0.3110 0.8092 x1
11 Si 0.2492 0.5632 0.3144 x1
12 Si 0.4991 0.6248 0.6211 x1
13 Si 0.4986 0.8802 0.8751 x1
14 Si 0.5002 0.1240 0.3771 x1
15 Si 0.5005 0.3747 0.3745 x1
16 Si 0.5002 0.8748 0.1257 x1
17 Si 0.5010 0.3732 0.6247 x1
18 Si 0.5064 0.1213 0.1268 x1
19 Si 0.7497 0.6877 0.4367 x1
20 Si 0.7510 0.4378 0.1877 x1
21 Si 0.7512 0.6891 0.1864 x1
22 Si 0.7509 0.9371 0.4362 x1
23 Si 0.7508 0.9388 0.6864 x1
24 Si 0.7517 0.1865 0.6894 x1
25 Si 0.7563 0.4317 0.9392 x1
26 Si 0.7622 0.1779 0.9406 x1
27 Si 0.9963 0.2465 0.2527 x1
28 Si 0.9990 0.5004 0.5002 x1
29 Si 0.9986 0.7624 0.0001 x1
30 Si 0.9988 0.9992 0.2393 x1
31 Ge 0.2498 0.3127 0.0625 x1
32 Ge 0.5011 0.6249 0.8752 x1


No. 4
FeSi17Ge14: computed XRD peak list (Cu Ka), based on a DFT-relaxed cell (PBE, OQMD).

Top 10 peaks for 2θ from 10° to 90°, sorted by position:
index  d_spacing  two_theta  I_rel
1 0 4  4.541  19.5  6.0
1 0 -8  3.211  27.8  100.0
0 2 0  1.967  46.2  59.2
0 0 16  1.962  46.3  11.7
1 2 -8  1.678  54.7  28.2
1 1 16  1.675  54.8  13.8
0 2 16  1.389  67.4  7.5
3 2 8  1.276  74.3  13.8
2 3 8  1.136  85.5  13.5
2 1 24  1.134  85.7  7.3

Atomic structure:
a b c (Å): 5.5678 3.9349 31.3980
angles (deg): 90.00 90.01 90.00
Space group Pm (No. 6)
Asymmetric unit:
1 Fe 0.0000 0.0000 0.0000 x1
2 Si 0.2102 0.5000 0.9988 x1
3 Si 0.2319 0.5000 0.7500 x1
4 Si 0.2327 0.5000 0.2516 x1
5 Si 0.2338 0.5000 0.4998 x1
6 Si 0.4835 0.5000 0.4394 x1
7 Si 0.4834 0.5000 0.6902 x1
8 Si 0.4929 0.5000 0.9413 x1
9 Si 0.7411 0.0000 0.9443 x1
10 Si 0.7448 0.0000 0.5605 x1
11 Si 0.7449 0.0000 0.8116 x1
12 Si 0.7460 0.0000 0.3123 x1
13 Si 0.7572 0.0000 0.0577 x1
14 Si 0.9805 0.0000 0.1229 x1
15 Si 0.9831 0.0000 0.3748 x1
16 Si 0.9959 0.0000 0.2517 x1
17 Si 0.9961 0.0000 0.5003 x1
18 Si 0.9964 0.0000 0.7513 x1
19 Ge 0.2331 0.5000 0.1244 x1
20 Ge 0.2357 0.5000 0.3763 x1
21 Ge 0.2467 0.5000 0.6261 x1
22 Ge 0.2487 0.5000 0.8771 x1
23 Ge 0.4824 0.5000 0.1893 x1
24 Ge 0.4935 0.5000 0.0597 x1
25 Ge 0.4933 0.5000 0.8110 x1
26 Ge 0.4955 0.5000 0.3122 x1
27 Ge 0.4950 0.5000 0.5607 x1
28 Ge 0.7330 0.0000 0.6903 x1
29 Ge 0.7359 0.0000 0.4385 x1
30 Ge 0.7471 0.0000 0.1884 x1
31 Ge 0.9770 0.0000 0.8774 x1
32 Ge 0.9822 0.0000 0.6248 x1


No. 5
FeSi29Ge2: computed XRD peak list (Cu Ka), based on a DFT-relaxed cell (PBE, OQMD).

Top 10 peaks for 2θ from 10° to 90°, sorted by position:
index  d_spacing  two_theta  I_rel
0 1 0  8.570  10.3  7.5
1 0 0  7.724  11.5  2.6
1 1 1  6.911  12.8  4.0
1 0 1  6.744  13.1  3.7
2 1 -1  3.154  28.3  100.0
4 0 0  1.931  47.1  67.3
0 3 5  1.647  55.8  39.8
6 4 4  1.366  68.7  10.6
6 1 -1  1.253  75.9  16.1
7 0 4  1.115  87.5  22.7

Atomic structure:
a b c (Å): 8.6378 9.4602 9.4648
angles (deg): 70.52 68.55 68.58
Space group P1 (No. 1)
Asymmetric unit:
1 Fe 0.0000 0.0000 0.0000 x1
2 Si 0.0001 0.5010 0.4938 x1
3 Si 0.0007 0.2492 0.2428 x1
4 Si 0.0007 0.4999 0.2435 x1
5 Si 0.0016 0.7509 0.4937 x1
6 Si 0.2402 0.8206 0.0544 x1
7 Si 0.2485 0.3110 0.8089 x1
8 Si 0.2486 0.5652 0.0567 x1
9 Si 0.2501 0.5613 0.8083 x1
10 Si 0.2504 0.8132 0.3048 x1
11 Si 0.2514 0.3185 0.5565 x1
12 Si 0.2516 0.0623 0.3021 x1
13 Si 0.4994 0.1252 0.8692 x1
14 Si 0.4991 0.3761 0.1191 x1
15 Si 0.4993 0.8748 0.8705 x1
16 Si 0.5000 0.6250 0.6192 x1
17 Si 0.5020 0.3772 0.3679 x1
18 Si 0.5021 0.6273 0.3674 x1
19 Si 0.5033 0.1253 0.1175 x1
20 Si 0.5063 0.8720 0.6199 x1
21 Si 0.7459 0.1908 0.6822 x1
22 Si 0.7494 0.6851 0.9339 x1
23 Si 0.7501 0.4348 0.9328 x1
24 Si 0.7501 0.4384 0.6819 x1
25 Si 0.7512 0.1877 0.4316 x1
26 Si 0.7529 0.6897 0.1804 x1
27 Si 0.7534 0.9380 0.4300 x1
28 Si 0.7609 0.9409 0.1750 x1
29 Si 0.9993 0.2398 0.9951 x1
30 Si 0.9993 0.7453 0.7465 x1
31 Ge 0.2546 0.0641 0.5552 x1
32 Ge 0.9956 0.9987 0.7591 x1


No. 6
FeSi24Ge7: computed XRD peak list (Cu Ka), based on a DFT-relaxed cell (PBE, OQMD).

Top 10 peaks for 2θ from 10° to 90°, sorted by position:
index  d_spacing  two_theta  I_rel
0 0 2  7.791  11.4  8.0
1 0 1  5.883  15.1  5.0
2 0 0  3.178  28.1  100.0
2 -2 0  1.946  46.7  69.0
2 0 8  1.659  55.4  41.0
-2 2 8  1.376  68.1  10.8
1 1 -12  1.263  75.2  8.0
5 1 4  1.262  75.3  8.3
-5 1 4  1.124  86.6  17.2
6 2 0  1.123  86.7  5.7

Atomic structure:
a b c (Å): 6.7366 6.7371 15.5827
angles (deg): 89.99 90.00 70.56
Space group P1 (No. 1)
Asymmetric unit:
1 Fe 0.0000 0.0000 0.0000 x1
2 Si 0.0017 0.5009 0.8741 x1
3 Si 0.0038 0.9947 0.2543 x1
4 Si 0.0036 0.9945 0.7500 x1
5 Si 0.0054 0.4964 0.3765 x1
6 Si 0.0053 0.9963 0.5000 x1
7 Si 0.1266 0.1177 0.6255 x1
8 Si 0.1319 0.1230 0.3767 x1
9 Si 0.1322 0.6231 0.4989 x1
10 Si 0.1328 0.6229 0.2545 x1
11 Si 0.1325 0.6226 0.7521 x1
12 Si 0.5054 0.9965 0.3762 x1
13 Si 0.5057 0.4969 0.2522 x1
14 Si 0.5058 0.4968 0.5001 x1
15 Si 0.5056 0.4968 0.7520 x1
16 Si 0.5120 0.9948 0.8767 x1
17 Si 0.5132 0.4946 0.0001 x1
18 Si 0.6261 0.6181 0.1264 x1
19 Si 0.6265 0.6176 0.6260 x1
20 Si 0.6314 0.1235 0.7528 x1
21 Si 0.6320 0.1234 0.4989 x1
22 Si 0.6316 0.1236 0.2538 x1
23 Si 0.6316 0.6228 0.3760 x1
24 Si 0.6317 0.6234 0.8757 x1
25 Si 0.6473 0.1181 0.9986 x1
26 Ge 0.0020 0.5015 0.1279 x1
27 Ge 0.0055 0.4964 0.6256 x1
28 Ge 0.1216 0.1127 0.1219 x1
29 Ge 0.1278 0.1189 0.8798 x1
30 Ge 0.1277 0.6379 0.9985 x1
31 Ge 0.5054 0.9966 0.6259 x1
32 Ge 0.5126 0.9951 0.1252 x1


No. 7
FeSi24Ge7: computed XRD peak list (Cu Ka), based on a DFT-relaxed cell (PBE, OQMD).

Top 10 peaks for 2θ from 10° to 90°, sorted by position:
index  d_spacing  two_theta  I_rel
0 0 2  7.782  11.4  7.7
0 1 0  6.350  13.9  4.3
1 1 -2  4.490  19.8  4.6
2 0 0  3.175  28.1  100.0
2 0 -2  2.940  30.4  4.0
2 -2 0  1.945  46.7  68.9
3 3 -4  1.658  55.4  40.9
4 4 0  1.375  68.2  10.8
5 1 -4  1.262  75.3  16.3
6 2 0  1.123  86.7  22.7

Atomic structure:
a b c (Å): 6.7338 6.7342 15.5636
angles (deg): 90.00 90.00 70.56
Space group P1 (No. 1)
Asymmetric unit:
1 Fe 0.0000 0.0000 0.0000 x1
2 Si 0.0028 0.9954 0.5000 x1
3 Si 0.1163 0.1162 0.8814 x1
4 Si 0.1214 0.6431 0.0011 x1
5 Si 0.1230 0.1230 0.1161 x1
6 Si 0.1264 0.6252 0.2447 x1
7 Si 0.1268 0.6256 0.5010 x1
8 Si 0.1266 0.6256 0.7480 x1
9 Si 0.4990 0.5064 0.4998 x1
10 Si 0.4993 0.9993 0.1211 x1
11 Si 0.5000 0.4998 0.9998 x1
12 Si 0.5000 0.4996 0.2463 x1
13 Si 0.5000 0.4996 0.7484 x1
14 Si 0.5042 0.9968 0.6270 x1
15 Si 0.6203 0.6201 0.3726 x1
16 Si 0.6210 0.6210 0.8743 x1
17 Si 0.6253 0.1265 0.2437 x1
18 Si 0.6257 0.1266 0.7490 x1
19 Si 0.6261 0.6260 0.6247 x1
20 Si 0.6269 0.6268 0.1230 x1
21 Si 0.6432 0.1213 0.0011 x1
22 Si 0.9983 0.5057 0.6245 x1
23 Si 0.9975 0.9978 0.2414 x1
24 Si 0.9976 0.9979 0.7530 x1
25 Si 0.9995 0.4995 0.1216 x1
26 Ge 0.9997 0.4994 0.8757 x1
27 Ge 0.1199 0.1202 0.3711 x1
28 Ge 0.1262 0.1262 0.6262 x1
29 Ge 0.4992 0.9995 0.8762 x1
30 Ge 0.5047 0.9967 0.3703 x1
31 Ge 0.6257 0.1268 0.5010 x1
32 Ge 0.9982 0.5063 0.3729 x1


No. 8
FeSi17Ge14: computed XRD peak list (Cu Ka), based on a DFT-relaxed cell (PBE, OQMD).

Top 10 peaks for 2θ from 10° to 90°, sorted by position:
index  d_spacing  two_theta  I_rel
0 0 4  7.844  11.3  8.7
1 0 4  4.536  19.6  7.2
1 0 -8  3.208  27.8  100.0
0 2 0  1.965  46.2  59.2
0 0 16  1.961  46.3  11.6
1 2 -8  1.676  54.8  28.1
1 1 16  1.673  54.9  13.7
0 2 16  1.388  67.5  7.5
3 2 8  1.275  74.4  13.8
2 3 8  1.135  85.6  13.5

Atomic structure:
a b c (Å): 5.5627 3.9300 31.3760
angles (deg): 90.00 90.03 90.00
Space group Pm (No. 6)
Asymmetric unit:
1 Fe 0.0000 0.0000 0.0000 x1
2 Si 0.0212 0.0000 0.6204 x1
3 Si 0.0220 0.0000 0.1195 x1
4 Si 0.0221 0.0000 0.3722 x1
5 Si 0.0216 0.0000 0.8727 x1
6 Si 0.2582 0.0000 0.1827 x1
7 Si 0.2594 0.0000 0.4344 x1
8 Si 0.2626 0.0000 0.0559 x1
9 Si 0.2704 0.0000 0.3111 x1
10 Si 0.2703 0.0000 0.5597 x1
11 Si 0.2700 0.0000 0.8114 x1
12 Si 0.5095 0.5000 0.8098 x1
13 Si 0.5101 0.5000 0.0574 x1
14 Si 0.5097 0.5000 0.3109 x1
15 Si 0.5105 0.5000 0.5592 x1
16 Si 0.7590 0.5000 0.4986 x1
17 Si 0.7590 0.5000 0.7494 x1
18 Si 0.7897 0.5000 0.9998 x1
19 Ge 0.0090 0.0000 0.7496 x1
20 Ge 0.0108 0.0000 0.4977 x1
21 Ge 0.0218 0.0000 0.2475 x1
22 Ge 0.2466 0.0000 0.9399 x1
23 Ge 0.2591 0.0000 0.6844 x1
24 Ge 0.5091 0.5000 0.1836 x1
25 Ge 0.5102 0.5000 0.4359 x1
26 Ge 0.5211 0.5000 0.6856 x1
27 Ge 0.5245 0.5000 0.9379 x1
28 Ge 0.7582 0.5000 0.2485 x1
29 Ge 0.7681 0.5000 0.1198 x1
30 Ge 0.7691 0.5000 0.8716 x1
31 Ge 0.7707 0.5000 0.3722 x1
32 Ge 0.7709 0.5000 0.6206 x1


- Which formula does entry 4 have?
  FeSi17Ge14